Entry 1:
Computed powder diffraction line list
Compound: Fe3Re
Radiation: Cu Kα
Structure: a DFT-relaxed cell (PBE, Alexandria)
Intensities are scaled so that the largest is 1000.

Largest 10 diffraction maxima, low angle first, 2θ from 10° to 90°:
2θ/deg, d [Å], I (rel.), (hkl)
24.96, 3.567, 127, 0 0 2
27.62, 3.230, 399, 1 0 1
35.03, 2.562, 109, 1 1 0
43.49, 2.081, 1000, 1 1 2
45.63, 1.988, 108, 1 0 3
50.38, 1.811, 321, 2 0 0
51.21, 1.784, 153, 0 0 4
58.41, 1.580, 109, 2 1 1
74.69, 1.271, 190, 2 0 4
89.95, 1.091, 241, 3 1 2

Structural model:
Lattice parameters (Å, degrees): 3.623 3.623 7.135 90.00 90.00 90.00
Sites, in units of the cell vectors:
Fe 0.000 0.000 0.000
Fe 0.000 0.500 0.250
Fe 0.000 0.500 0.750
Fe 0.500 0.000 0.250
Fe 0.500 0.000 0.750
Fe 0.500 0.500 0.500
Re 0.000 0.000 0.500
Re 0.500 0.500 0.000


Entry 2:
Computed powder diffraction line list
Compound: LiNd2Pb8
Radiation: Cu Kα
Structure: a DFT-relaxed cell (PBE, Alexandria)
Intensities are scaled so that the largest is 1000.

Largest 10 diffraction maxima, low angle first, 2θ from 10° to 90°:
2θ/deg, d [Å], I (rel.), (hkl)
29.08, 3.071, 370, 1 1 2
32.65, 2.743, 1000, 1 1 3
32.82, 2.729, 219, 0 0 5
36.97, 2.432, 488, 2 0 0
50.26, 1.815, 271, 2 0 5
53.27, 1.720, 174, 2 2 0
60.61, 1.528, 246, 1 1 8
63.90, 1.457, 300, 3 1 3
64.00, 1.455, 133, 2 2 5
84.91, 1.142, 188, 3 1 8

Structural model:
Lattice parameters (Å, degrees): 4.864 4.864 13.643 90.00 90.00 90.00
Sites, in units of the cell vectors:
Li 0.000 0.000 0.000
Nd 0.000 0.000 0.321
Nd 0.000 0.000 0.679
Pb 0.000 0.500 0.128
Pb 0.000 0.500 0.500
Pb 0.000 0.500 0.872
Pb 0.500 0.000 0.128
Pb 0.500 0.000 0.500
Pb 0.500 0.000 0.872
Pb 0.500 0.500 0.306
Pb 0.500 0.500 0.694


Entry 3:
Computed powder diffraction line list
Compound: TbY2Bi2
Radiation: Cu Kα
Structure: a DFT-relaxed cell (PBE, Alexandria)
Intensities are scaled so that the largest is 1000.

Largest 10 diffraction maxima, low angle first, 2θ from 10° to 90°:
2θ/deg, d [Å], I (rel.), (hkl)
20.71, 4.289, 425, 0 0 2
20.88, 4.253, 445, 1 0 1
28.86, 3.094, 985, 1 2 1
30.72, 2.910, 466, -1 2 1
33.20, 2.698, 693, 0 2 3
35.79, 2.509, 1000, 1 2 3
41.12, 2.195, 335, 2 0 1
41.42, 2.180, 328, 0 4 1
42.22, 2.141, 299, 1 0 -3
63.31, 1.469, 296, 0 2 6

Structural model:
Lattice parameters (Å, degrees): 4.390 8.720 9.119 76.17 76.07 90.00
Sites, in units of the cell vectors:
Tb 0.181 0.340 0.140
Tb 0.819 0.660 0.860
Y 0.181 0.840 0.139
Y 0.499 0.750 0.500
Y 0.501 0.250 0.500
Y 0.819 0.160 0.861
Bi 0.365 0.432 0.769
Bi 0.365 0.933 0.769
Bi 0.635 0.067 0.231
Bi 0.635 0.568 0.231